Simulated powder XRD pattern of NaCoF4 for Cu Kα, from a crystal structure in Alexandria, relaxed with GGA+U.
Lines closer than 0.1° are merged.

Main lines, low angle first (10° ≤ 2θ ≤ 90°):
Position (°2θ), intensity
16.11, 53
25.08, 100
28.80, 54
32.60, 21
34.19, 13
37.33, 25
49.25, 42
51.47, 12
51.72, 17
54.98, 17

Cell and atoms:
abc: 5.0056 5.6679 11.0017
angles: 90.00 90.00 90.00
Space group Pbcn (No. 60)
Unique sites:
Na 0.0000 0.0000 0.0000 [4 per cell]
Co 0.0000 0.3448 0.2500 [4 per cell]
F 0.1602 0.3280 0.1011 [8 per cell]
F 0.2462 0.0855 0.3139 [8 per cell]

=====

Simulated powder XRD pattern of Na4CoF6 for Cu Kα, from a crystal structure in Alexandria, relaxed with GGA+U.
Lines closer than 0.1° are merged.

Main lines, low angle first (10° ≤ 2θ ≤ 90°):
Position (°2θ), intensity
18.89, 99
19.23, 79
27.08, 27
33.02, 78
39.02, 34
40.78, 29
43.21, 34
43.69, 100
45.61, 86
59.49, 29

Cell and atoms:
abc: 9.3980 9.3980 11.2098
angles: 90.00 90.00 120.00
Space group R-3c (No. 167, hexagonal axes)
Unique sites:
Na 0.0000 0.0000 0.2500 [6 per cell]
Na 0.0000 0.3547 0.2500 [18 per cell]
Co 0.0000 0.0000 0.0000 [6 per cell]
F 0.0355 0.1920 0.3942 [36 per cell]